Computed powder diffractogram
Compound: Dy6CoHg2
Radiation: λ = 1.5418 Å (Cu Kα)
Structure: a PBE-relaxed structure
Peak positions follow from Bragg's law for the DFT cell and can differ from measured ones.

Crystal structure
a = 6.9246 Å, b = 7.1790 Å, c = 12.2117 Å
α = 90.00°, β = 124.29°, γ = 90.00°
Atoms (fractional coordinates):
Dy  0.1492  0.0068  0.2498
Dy  0.1492  0.4932  0.7498
Dy  0.2467  0.7009  0.0485
Dy  0.2467  0.7991  0.5485
Dy  0.3497  0.1997  0.0448
Dy  0.3497  0.3003  0.5448
Dy  0.6503  0.6997  0.4552
Dy  0.6503  0.8003  0.9552
Dy  0.7533  0.2009  0.4515
Dy  0.7533  0.2991  0.9515
Dy  0.8508  0.5068  0.2502
Dy  0.8508  0.9932  0.7502
Co  0.0000  0.0000  0.0000
Co  0.0000  0.5000  0.5000
Hg  0.2824  0.0769  0.7518
Hg  0.2824  0.4231  0.2518
Hg  0.7176  0.5769  0.7482
Hg  0.7176  0.9231  0.2482

Most intense lines, 2θ = 10–80°, low angle first:
| d/Å | Rel. int. |
| --- | --- |
| 3.020 | 26.9 |
| 2.980 | 57.3 |
| 2.925 | 100.0 |
| 2.860 | 37.8 |
| 2.849 | 37.7 |
| 2.787 | 25.5 |
| 2.694 | 26.7 |
| 2.522 | 42.4 |
| 2.492 | 46.5 |
| 2.454 | 25.8 |

---

Computed powder diffractogram
Compound: Dy4CoHg2
Radiation: λ = 1.5418 Å (Cu Kα)
Structure: a PBE-relaxed structure
Peak positions follow from Bragg's law for the DFT cell and can differ from measured ones.

Crystal structure
a = 8.4253 Å, b = 8.4253 Å, c = 8.4253 Å
α = 145.12°, β = 145.12°, γ = 50.16°
Atoms (fractional coordinates):
Dy  0.0000  0.5000  0.5000
Dy  0.1755  0.1755  0.0000
Dy  0.5000  0.0000  0.5000
Dy  0.8245  0.8245  0.0000
Co  0.0000  0.0000  0.0000
Hg  0.3711  0.3711  0.0000
Hg  0.6289  0.6289  0.0000

Most intense lines, 2θ = 10–80°, low angle first:
| d/Å | Rel. int. |
| --- | --- |
| 7.631 | 11.8 |
| 3.572 | 28.9 |
| 3.235 | 45.0 |
| 2.609 | 100.0 |
| 2.544 | 15.0 |
| 2.525 | 65.0 |
| 1.816 | 23.3 |
| 1.792 | 21.1 |
| 1.786 | 23.2 |
| 1.473 | 29.3 |

---

Computed powder diffractogram
Compound: Dy4CoHg2
Radiation: λ = 1.5418 Å (Cu Kα)
Structure: a PBE-relaxed structure
Peak positions follow from Bragg's law for the DFT cell and can differ from measured ones.

Crystal structure
a = 6.4667 Å, b = 3.6871 Å, c = 8.6303 Å
α = 90.00°, β = 110.69°, γ = 90.00°
Atoms (fractional coordinates):
Dy  0.1176  0.0000  0.2450
Dy  0.3057  0.5000  0.6401
Dy  0.6943  0.5000  0.3599
Dy  0.8824  0.0000  0.7550
Co  0.0000  0.0000  0.5000
Hg  0.2752  0.5000  0.0091
Hg  0.7248  0.5000  0.9909

Most intense lines, 2θ = 10–80°, low angle first:
| d/Å | Rel. int. |
| --- | --- |
| 3.148 | 92.9 |
| 2.766 | 69.9 |
| 2.739 | 60.3 |
| 2.722 | 100.0 |
| 2.552 | 67.8 |
| 2.496 | 89.2 |
| 2.339 | 95.6 |
| 2.317 | 65.5 |
| 2.174 | 88.6 |
| 1.844 | 65.5 |

---

Computed powder diffractogram
Compound: Dy8Co2Hg
Radiation: λ = 1.5418 Å (Cu Kα)
Structure: a PBE-relaxed structure
Peak positions follow from Bragg's law for the DFT cell and can differ from measured ones.

Crystal structure
a = 7.7990 Å, b = 7.7990 Å, c = 5.3549 Å
α = 97.38°, β = 97.38°, γ = 113.83°
Atoms (fractional coordinates):
Dy  0.0000  0.0000  0.0000
Dy  0.0531  0.3155  0.6216
Dy  0.1375  0.6317  0.1969
Dy  0.3155  0.0531  0.6216
Dy  0.4539  0.7163  0.7721
Dy  0.6317  0.1375  0.1969
Dy  0.7163  0.4539  0.7721
Dy  0.7694  0.7694  0.3937
Co  0.0798  0.6899  0.6971
Co  0.6899  0.0798  0.6971
Hg  0.3847  0.3847  0.1960

Most intense lines, 2θ = 10–80°, low angle first:
| d/Å | Rel. int. |
| --- | --- |
| 3.274 | 37.7 |
| 2.921 | 76.6 |
| 2.767 | 100.0 |
| 2.660 | 68.3 |
| 2.615 | 50.9 |
| 2.564 | 71.9 |
| 2.331 | 35.1 |
| 2.313 | 23.6 |
| 1.706 | 30.4 |
| 1.426 | 23.6 |

---

Computed powder diffractogram
Compound: DyThCoHg
Radiation: λ = 1.5418 Å (Cu Kα)
Structure: a PBE-relaxed structure
Peak positions follow from Bragg's law for the DFT cell and can differ from measured ones.

Crystal structure
a = 3.9327 Å, b = 3.9327 Å, c = 8.0410 Å
α = 104.20°, β = 104.20°, γ = 60.06°
Atoms (fractional coordinates):
Dy  0.0000  0.0000  0.0000
Th  0.7938  0.7938  0.3829
Co  0.4009  0.4009  0.2025
Hg  0.2344  0.2344  0.7037

Most intense lines, 2θ = 10–80°, low angle first:
| d/Å | Rel. int. |
| --- | --- |
| 3.370 | 20.3 |
| 3.268 | 31.5 |
| 2.935 | 63.5 |
| 2.743 | 100.0 |
| 2.570 | 21.0 |
| 2.372 | 24.4 |
| 1.967 | 52.6 |
| 1.914 | 12.6 |
| 1.598 | 19.9 |
| 1.562 | 28.8 |

---

Computed powder diffractogram
Compound: Dy3Ho3Co4
Radiation: λ = 1.5418 Å (Cu Kα)
Structure: a PBE-relaxed structure
Peak positions follow from Bragg's law for the DFT cell and can differ from measured ones.

Crystal structure
a = 4.1609 Å, b = 7.1672 Å, c = 7.1672 Å
α = 89.95°, β = 90.00°, γ = 90.00°
Atoms (fractional coordinates):
Dy  0.0000  0.0000  0.0000
Dy  0.5000  0.3280  0.8279
Dy  0.5000  0.8279  0.3280
Ho  0.0000  0.1554  0.5004
Ho  0.0000  0.5004  0.1554
Ho  0.0000  0.6546  0.6546
Co  0.5000  0.2174  0.2174
Co  0.5000  0.4400  0.4400
Co  0.5000  0.7152  0.9382
Co  0.5000  0.9382  0.7152

Most intense lines, 2θ = 10–80°, low angle first:
| d/Å | Rel. int. |
| --- | --- |
| 3.213 | 29.5 |
| 2.715 | 67.8 |
| 2.538 | 100.0 |
| 2.266 | 39.6 |
| 2.080 | 22.0 |
| 1.738 | 11.8 |
| 1.604 | 16.9 |
| 1.565 | 19.8 |
| 1.533 | 23.0 |
| 1.332 | 14.7 |

---

Computed powder diffractogram
Compound: Dy2HoCo2
Radiation: λ = 1.5418 Å (Cu Kα)
Structure: a PBE-relaxed structure
Peak positions follow from Bragg's law for the DFT cell and can differ from measured ones.

Crystal structure
a = 5.7961 Å, b = 5.7961 Å, c = 6.0686 Å
α = 119.38°, β = 119.38°, γ = 39.03°
Atoms (fractional coordinates):
Dy  0.1926  0.1926  0.1840
Dy  0.8074  0.8074  0.8160
Ho  0.0000  0.0000  0.5000
Co  0.4818  0.4818  0.1699
Co  0.5182  0.5182  0.8301

Most intense lines, 2θ = 10–80°, low angle first:
| d/Å | Rel. int. |
| --- | --- |
| 3.576 | 21.7 |
| 3.032 | 48.4 |
| 2.814 | 35.4 |
| 2.722 | 44.1 |
| 2.702 | 100.0 |
| 2.647 | 82.7 |
| 2.331 | 60.8 |
| 2.295 | 34.1 |
| 1.936 | 32.4 |
| 1.448 | 24.6 |

---

Computed powder diffractogram
Compound: Dy4HoCo4
Radiation: λ = 1.5418 Å (Cu Kα)
Structure: a PBE-relaxed structure
Peak positions follow from Bragg's law for the DFT cell and can differ from measured ones.

Crystal structure
a = 8.3750 Å, b = 8.3750 Å, c = 5.5756 Å
α = 90.00°, β = 90.00°, γ = 90.00°
Atoms (fractional coordinates):
Dy  0.0603  0.6747  0.1312
Dy  0.1747  0.9397  0.6312
Dy  0.3253  0.5603  0.6312
Dy  0.4397  0.8253  0.1312
Dy  0.5603  0.1747  0.8688
Dy  0.6747  0.4397  0.3688
Dy  0.8253  0.0603  0.3688
Dy  0.9397  0.3253  0.8688
Ho  0.2500  0.2500  0.2500
Ho  0.7500  0.7500  0.7500
Co  0.0119  0.6125  0.6133
Co  0.1125  0.9881  0.1133
Co  0.3875  0.5119  0.1133
Co  0.4881  0.8875  0.6133
Co  0.5119  0.1125  0.3867
Co  0.6125  0.4881  0.8867
Co  0.8875  0.0119  0.8867
Co  0.9881  0.3875  0.3867

Most intense lines, 2θ = 10–80°, low angle first:
| d/Å | Rel. int. |
| --- | --- |
| 3.348 | 11.4 |
| 3.109 | 55.3 |
| 2.647 | 100.0 |
| 2.392 | 14.0 |
| 2.236 | 19.5 |
| 1.973 | 9.8 |
| 1.873 | 19.3 |
| 1.785 | 19.2 |
| 1.642 | 12.4 |
| 1.604 | 16.6 |

---

Computed powder diffractogram
Compound: DyHo6Co3
Radiation: λ = 1.5418 Å (Cu Kα)
Structure: a PBE-relaxed structure
Peak positions follow from Bragg's law for the DFT cell and can differ from measured ones.

Crystal structure
a = 8.3260 Å, b = 8.3260 Å, c = 7.1862 Å
α = 90.00°, β = 90.00°, γ = 93.45°
Atoms (fractional coordinates):
Dy  0.1861  0.8139  0.5000
Dy  0.8139  0.1861  0.0000
Ho  0.0011  0.5006  0.2468
Ho  0.1684  0.8316  0.9990
Ho  0.2145  0.2144  0.4991
Ho  0.2144  0.2145  0.9991
Ho  0.4940  0.5060  0.2482
Ho  0.4994  0.9989  0.2468
Ho  0.5006  0.0011  0.7468
Ho  0.5060  0.4940  0.7482
Ho  0.7856  0.7855  0.4991
Ho  0.7855  0.7856  0.9991
Ho  0.8316  0.1684  0.4990
Ho  0.9989  0.4994  0.7468
Co  0.0006  0.9994  0.2493
Co  0.2505  0.5291  0.9925
Co  0.4709  0.7495  0.9925
Co  0.5291  0.2505  0.4925
Co  0.7495  0.4709  0.4925
Co  0.9994  0.0006  0.7493

Most intense lines, 2θ = 10–80°, low angle first:
| d/Å | Rel. int. |
| --- | --- |
| 3.032 | 15.5 |
| 2.854 | 24.2 |
| 2.770 | 21.5 |
| 2.718 | 100.0 |
| 2.677 | 10.9 |
| 2.078 | 12.9 |
| 1.904 | 17.1 |
| 1.797 | 14.6 |
| 1.620 | 12.8 |
| 1.508 | 12.2 |

---

Computed powder diffractogram
Compound: Dy2Ho6Co
Radiation: λ = 1.5418 Å (Cu Kα)
Structure: a PBE-relaxed structure
Peak positions follow from Bragg's law for the DFT cell and can differ from measured ones.

Crystal structure
a = 9.6263 Å, b = 9.6263 Å, c = 3.5846 Å
α = 90.00°, β = 90.00°, γ = 123.61°
Atoms (fractional coordinates):
Dy  0.1702  0.8298  0.0000
Dy  0.8298  0.1702  0.0000
Ho  0.1664  0.4984  0.5000
Ho  0.2937  0.2937  0.0000
Ho  0.4984  0.1664  0.5000
Ho  0.5016  0.8336  0.5000
Ho  0.7063  0.7063  0.0000
Ho  0.8336  0.5016  0.5000
Co  0.5000  0.5000  0.5000

Most intense lines, 2θ = 10–80°, low angle first:
| d/Å | Rel. int. |
| --- | --- |
| 8.017 | 22.9 |
| 3.302 | 19.1 |
| 2.985 | 37.7 |
| 2.873 | 70.1 |
| 2.828 | 69.5 |
| 2.672 | 100.0 |
| 2.346 | 39.3 |
| 2.142 | 27.6 |
| 1.559 | 22.0 |
| 1.514 | 27.6 |

---

Computed powder diffractogram
Compound: DyHoCoNi
Radiation: λ = 1.5418 Å (Cu Kα)
Structure: a PBE-relaxed structure
Peak positions follow from Bragg's law for the DFT cell and can differ from measured ones.

Crystal structure
a = 3.9449 Å, b = 5.5486 Å, c = 5.5486 Å
α = 40.30°, β = 90.00°, γ = 90.00°
Atoms (fractional coordinates):
Dy  0.0000  0.0000  0.0000
Ho  0.5000  0.7160  0.7160
Co  0.0000  0.2875  0.2875
Ni  0.5000  0.4247  0.4247

Most intense lines, 2θ = 10–80°, low angle first:
| d/Å | Rel. int. |
| --- | --- |
| 3.145 | 40.0 |
| 2.655 | 100.0 |
| 2.604 | 25.1 |
| 2.570 | 51.6 |
| 2.174 | 20.4 |
| 2.154 | 42.1 |
| 1.972 | 22.9 |
| 1.911 | 20.7 |
| 1.565 | 22.6 |
| 1.387 | 14.1 |

---

Computed powder diffractogram
Compound: Dy6In3Co
Radiation: λ = 1.5418 Å (Cu Kα)
Structure: a PBE-relaxed structure
Peak positions follow from Bragg's law for the DFT cell and can differ from measured ones.

Crystal structure
a = 9.1363 Å, b = 11.3024 Å, c = 5.1567 Å
α = 90.00°, β = 90.00°, γ = 90.00°
Atoms (fractional coordinates):
Dy  0.0192  0.2269  0.0000
Dy  0.1568  0.0734  0.5000
Dy  0.1910  0.4094  0.5000
Dy  0.3090  0.9094  0.0000
Dy  0.3432  0.5734  0.0000
Dy  0.4808  0.7269  0.5000
Dy  0.5192  0.2731  0.5000
Dy  0.6568  0.4266  0.0000
Dy  0.6910  0.0906  0.0000
Dy  0.8090  0.5906  0.5000
Dy  0.8432  0.9266  0.5000
Dy  0.9808  0.7731  0.0000
In  0.0000  0.5000  0.0000
In  0.1482  0.7221  0.5000
In  0.3518  0.2221  0.0000
In  0.5000  0.0000  0.5000
In  0.6482  0.7779  0.0000
In  0.8518  0.2779  0.5000
Co  0.0000  0.0000  0.0000
Co  0.5000  0.5000  0.5000

Most intense lines, 2θ = 10–80°, low angle first:
| d/Å | Rel. int. |
| --- | --- |
| 2.907 | 30.9 |
| 2.886 | 87.5 |
| 2.622 | 100.0 |
| 2.578 | 53.2 |
| 2.403 | 15.3 |
| 2.392 | 19.4 |
| 1.953 | 15.5 |
| 1.929 | 18.9 |
| 1.541 | 15.5 |
| 1.497 | 17.7 |

---

Computed powder diffractogram
Compound: Dy11In9Co4
Radiation: λ = 1.5418 Å (Cu Kα)
Structure: a PBE-relaxed structure
Peak positions follow from Bragg's law for the DFT cell and can differ from measured ones.

Crystal structure
a = 12.9655 Å, b = 12.9655 Å, c = 3.6444 Å
α = 90.00°, β = 90.00°, γ = 112.45°
Atoms (fractional coordinates):
Dy  0.0000  0.0000  0.0000
Dy  0.0832  0.4180  0.0000
Dy  0.1614  0.8386  0.0000
Dy  0.3140  0.3140  0.0000
Dy  0.3750  0.6250  0.0000
Dy  0.4180  0.0832  0.0000
Dy  0.5820  0.9168  0.0000
Dy  0.6250  0.3750  0.0000
Dy  0.6860  0.6860  0.0000
Dy  0.8386  0.1614  0.0000
Dy  0.9168  0.5820  0.0000
In  0.0790  0.2206  0.5000
In  0.1589  0.6314  0.5000
In  0.2206  0.0790  0.5000
In  0.3686  0.8411  0.5000
In  0.5000  0.5000  0.5000
In  0.6314  0.1589  0.5000
In  0.7794  0.9210  0.5000
In  0.8411  0.3686  0.5000
In  0.9210  0.7794  0.5000
Co  0.2477  0.4498  0.5000
Co  0.4498  0.2477  0.5000
Co  0.5502  0.7523  0.5000
Co  0.7523  0.5502  0.5000

Most intense lines, 2θ = 10–80°, low angle first:
| d/Å | Rel. int. |
| --- | --- |
| 3.209 | 11.2 |
| 2.878 | 13.1 |
| 2.692 | 12.1 |
| 2.560 | 100.0 |
| 2.544 | 39.1 |
| 2.409 | 15.8 |
| 2.345 | 12.6 |
| 1.822 | 16.1 |
| 1.481 | 15.7 |
| 1.439 | 11.1 |